BeCdCoF6: computed powder XRD pattern (Cu Kα), based on a structure optimized by DFT (GGA+U).
Neutral-atom scattering factors, no anomalous dispersion.

Cell and atoms:
Cell lengths 5.055, 5.055, 9.507 Å; angles 90.00, 90.00, 120.00 degrees
Fractional positions:
Be 0.333 0.667 0.250
Be 0.667 0.333 0.750
Cd 0.000 0.000 0.000
Cd 0.000 0.000 0.500
Co 0.333 0.667 0.750
Co 0.667 0.333 0.250
F 0.038 0.382 0.143
F 0.038 0.656 0.357
F 0.344 0.382 0.357
F 0.344 0.962 0.143
F 0.382 0.038 0.643
F 0.382 0.344 0.857
F 0.618 0.656 0.143
F 0.618 0.962 0.357
F 0.656 0.038 0.857
F 0.656 0.618 0.643
F 0.962 0.344 0.643
F 0.962 0.618 0.857

Main lines, sorted by position (5 to 70 degrees two-theta):
20.28 deg, I 20, (1 0 0); 22.36 deg, I 9, (1 0 1); 27.70 deg, I 100, (1 0 2); 35.52 deg, I 18, (1 1 0); 40.42 deg, I 18, (2 -1 2); 43.32 deg, I 11, (1 0 4); 45.63 deg, I 22, (2 0 2); 52.88 deg, I 36, (1 1 4); 59.12 deg, I 21, (2 1 2); 63.78 deg, I 13, (3 0 0)